Entry 1:
Structure and computed powder diffractogram of LiCu5P2O8 (a DFT-relaxed cell (PBE, the Materials Project); copper Kα).
Intensities are scaled so that the largest is 100.

Crystal structure
```
data_LiCu5P2O8
_space_group_name_H-M_alt 'P 1'
_space_group_IT_number 1
_space_group_name_Hall 'P 1'
_cell_length_a 5.614
_cell_length_b 6.230
_cell_length_c 10.365
_cell_angle_alpha 89.73
_cell_angle_beta 89.76
_cell_angle_gamma 88.93
loop_
_atom_site_label
_atom_site_type_symbol
_atom_site_fract_x
_atom_site_fract_y
_atom_site_fract_z
Li1 Li 0.000 0.000 0.000
Li2 Li 0.178 0.250 0.753
Cu1 Cu 0.103 0.260 0.254
Cu2 Cu 0.559 0.753 0.511
Cu3 Cu 0.563 0.749 0.011
Cu4 Cu 0.663 0.996 0.248
Cu5 Cu 0.677 0.502 0.249
Cu6 Cu 0.680 0.547 0.763
Cu7 Cu 0.680 0.966 0.754
Cu8 Cu 0.973 0.512 0.005
Cu9 Cu 0.981 0.491 0.498
Cu10 Cu 0.984 0.013 0.497
P1 P 0.149 0.753 0.750
P2 P 0.160 0.758 0.244
P3 P 0.484 0.243 0.992
P4 P 0.488 0.254 0.501
O1 O 0.020 0.961 0.295
O2 O 0.025 0.559 0.300
O3 O 0.025 0.960 0.808
O4 O 0.029 0.539 0.799
O5 O 0.149 0.758 0.601
O6 O 0.152 0.756 0.095
O7 O 0.225 0.235 0.043
O8 O 0.236 0.256 0.563
O9 O 0.407 0.750 0.804
O10 O 0.415 0.756 0.298
O11 O 0.481 0.255 0.352
O12 O 0.491 0.250 0.843
O13 O 0.612 0.444 0.048
O14 O 0.628 0.051 0.552
O15 O 0.628 0.452 0.552
O16 O 0.640 0.048 0.042
```

Main lines, by intensity (10 to 90 degrees two-theta):
2θ/deg, d_spacing, intensity, hkl
34.62, 2.591, 100, 0 0 4
37.54, 2.396, 71, -1 2 2
31.89, 2.807, 49, 2 0 0
37.16, 2.420, 39, 1 2 -2
32.62, 2.745, 37, 1 2 0
33.16, 2.702, 35, 1 -2 0
36.97, 2.432, 34, 1 2 2
36.47, 2.464, 33, 2 0 -2
36.35, 2.472, 29, 2 0 2
15.79, 5.613, 27, 1 0 0

=====

Entry 2:
Structure and computed powder diffractogram of Li2CuP3O9 (a DFT-relaxed cell (PBE, the Materials Project); copper Kα).
Intensities are scaled so that the largest is 100.

Crystal structure
```
data_Li2CuP3O9
_space_group_name_H-M_alt 'P 21 21 21'
_space_group_IT_number 19
_space_group_name_Hall 'P 2ac 2ab'
_cell_length_a 8.524
_cell_length_b 8.966
_cell_length_c 8.968
_cell_angle_alpha 90.00
_cell_angle_beta 90.00
_cell_angle_gamma 90.00
loop_
_atom_site_label
_atom_site_type_symbol
_atom_site_fract_x
_atom_site_fract_y
_atom_site_fract_z
Li1 Li 0.008 0.048 0.030
Li2 Li 0.139 0.338 0.325
Cu1 Cu 0.152 0.631 0.104
P1 P 0.031 0.817 0.819
P2 P 0.185 0.989 0.308
P3 P 0.205 0.301 0.935
O1 O 0.047 0.272 0.839
O2 O 0.092 0.381 0.578
O3 O 0.095 0.117 0.374
O4 O 0.117 0.912 0.174
O5 O 0.131 0.689 0.868
O6 O 0.139 0.957 0.765
O7 O 0.156 0.337 0.091
O8 O 0.179 0.600 0.354
O9 O 0.228 0.870 0.439
```

Main lines, by intensity (10 to 90 degrees two-theta):
2θ/deg, d_spacing, intensity, hkl
22.17, 4.010, 100, 0 1 2
24.53, 3.629, 82, 1 2 1
31.73, 2.820, 62, 1 3 0
23.11, 3.849, 45, 2 0 1
33.30, 2.691, 43, 1 1 3
17.43, 5.087, 40, 1 1 1
33.07, 2.709, 36, 3 0 1
31.55, 2.836, 28, 0 1 3
34.59, 2.593, 24, 3 1 1
45.19, 2.006, 23, 3 3 1

=====

Entry 3:
Structure and computed powder diffractogram of LiCu2PO4 (a DFT-relaxed cell (PBE, the Materials Project); copper Kα).
Intensities are scaled so that the largest is 100.

Crystal structure
```
data_LiCu2PO4
_space_group_name_H-M_alt 'P 1 m 1'
_space_group_IT_number 6
_space_group_name_Hall 'P -2y'
_cell_length_a 5.183
_cell_length_b 6.239
_cell_length_c 5.459
_cell_angle_alpha 90.00
_cell_angle_beta 90.22
_cell_angle_gamma 90.00
loop_
_atom_site_label
_atom_site_type_symbol
_atom_site_fract_x
_atom_site_fract_y
_atom_site_fract_z
Li1 Li 0.000 0.250 0.000
Cu1 Cu 0.520 0.000 0.126
Cu2 Cu 0.522 0.256 0.670
Cu3 Cu 0.982 0.500 0.526
P1 P 0.017 0.000 0.492
P2 P 0.500 0.500 0.147
O1 O 0.316 0.000 0.492
O2 O 0.383 0.296 0.017
O3 O 0.403 0.500 0.417
O4 O 0.799 0.500 0.130
O5 O 0.914 0.000 0.223
O6 O 0.919 0.201 0.637
```

Main lines, by intensity (10 to 90 degrees two-theta):
2θ/deg, d_spacing, intensity, hkl
37.47, 2.400, 100, 1 2 1
33.08, 2.708, 59, 0 2 1
34.62, 2.591, 56, 2 0 0
32.81, 2.729, 43, 0 0 2
17.11, 5.183, 40, 1 0 0
23.68, 3.757, 31, 1 0 1
16.24, 5.459, 29, 0 0 1
58.75, 1.572, 27, 0 2 3
63.86, 1.458, 26, 3 2 -1
48.68, 1.871, 21, 2 2 1

=====

Entry 4:
Structure and computed powder diffractogram of LiCu2PO4 (a DFT-relaxed cell (PBE, the Materials Project); copper Kα).
Intensities are scaled so that the largest is 100.

Crystal structure
```
data_LiCu2PO4
_space_group_name_H-M_alt 'P 1'
_space_group_IT_number 1
_space_group_name_Hall 'P 1'
_cell_length_a 5.170
_cell_length_b 5.505
_cell_length_c 6.211
_cell_angle_alpha 89.56
_cell_angle_beta 88.81
_cell_angle_gamma 88.13
loop_
_atom_site_label
_atom_site_type_symbol
_atom_site_fract_x
_atom_site_fract_y
_atom_site_fract_z
Li1 Li 0.000 0.000 0.000
Li2 Li 0.013 0.526 0.246
Cu1 Cu 0.065 0.499 0.714
Cu2 Cu 0.469 0.211 0.270
Cu3 Cu 0.473 0.219 0.731
Cu4 Cu 0.505 0.602 0.506
P1 P 0.516 0.693 0.003
P2 P 0.986 0.019 0.493
O1 O 0.080 0.164 0.289
O2 O 0.081 0.135 0.708
O3 O 0.097 0.754 0.480
O4 O 0.215 0.687 0.005
O5 O 0.614 0.956 0.001
O6 O 0.630 0.551 0.203
O7 O 0.637 0.551 0.804
O8 O 0.687 0.016 0.498
```

Main lines, by intensity (10 to 90 degrees two-theta):
2θ/deg, d_spacing, intensity, hkl
34.73, 2.583, 100, 2 0 0
14.26, 6.210, 95, 0 0 1
17.16, 5.166, 87, 1 0 0
33.03, 2.712, 85, 0 1 2
37.58, 2.394, 72, 1 -1 2
32.55, 2.751, 48, 0 2 0
33.23, 2.696, 47, 0 1 -2
37.66, 2.388, 44, 1 1 -2
36.50, 2.462, 43, 1 2 0
38.00, 2.368, 43, -1 1 2

=====

Entry 5:
Structure and computed powder diffractogram of Li2CuPO4 (a DFT-relaxed cell (PBE, the Materials Project); copper Kα).
Intensities are scaled so that the largest is 100.

Crystal structure
```
data_Li2CuPO4
_space_group_name_H-M_alt 'P m n 21'
_space_group_IT_number 31
_space_group_name_Hall 'P 2ac -2'
_cell_length_a 6.233
_cell_length_b 5.309
_cell_length_c 5.074
_cell_angle_alpha 90.00
_cell_angle_beta 90.00
_cell_angle_gamma 90.00
loop_
_atom_site_label
_atom_site_type_symbol
_atom_site_fract_x
_atom_site_fract_y
_atom_site_fract_z
Li1 Li 0.250 0.176 0.000
Cu1 Cu 0.000 0.309 0.500
P1 P 0.000 0.678 0.004
O1 O 0.000 0.397 0.916
O2 O 0.000 0.696 0.309
O3 O 0.202 0.817 0.891
```

Main lines, by intensity (10 to 90 degrees two-theta):
2θ/deg, d_spacing, intensity, hkl
24.27, 3.668, 100, 0 1 1
37.88, 2.375, 41, 2 1 1
28.64, 3.117, 35, 2 0 0
35.38, 2.537, 34, 0 0 2
33.77, 2.654, 27, 0 2 0
33.34, 2.688, 27, 2 1 0
16.70, 5.309, 23, 0 1 0
60.13, 1.539, 22, 2 3 0
65.17, 1.431, 20, 2 1 3
42.05, 2.149, 14, 1 1 2

=====

Entry 6:
Structure and computed powder diffractogram of LiCu5P3O13 (a DFT-relaxed cell (PBE, the Materials Project); copper Kα).
Intensities are scaled so that the largest is 100.

Crystal structure
```
data_LiCu5P3O13
_space_group_name_H-M_alt 'P -1'
_space_group_IT_number 2
_space_group_name_Hall '-P 1'
_cell_length_a 6.248
_cell_length_b 8.242
_cell_length_c 9.906
_cell_angle_alpha 92.35
_cell_angle_beta 90.23
_cell_angle_gamma 90.36
loop_
_atom_site_label
_atom_site_type_symbol
_atom_site_fract_x
_atom_site_fract_y
_atom_site_fract_z
Li1 Li 0.249 0.433 0.455
Cu1 Cu 0.004 0.140 0.784
Cu2 Cu 0.251 0.779 0.545
Cu3 Cu 0.255 0.854 0.921
Cu4 Cu 0.257 0.568 0.103
Cu5 Cu 0.499 0.861 0.215
P1 P 0.250 0.132 0.508
P2 P 0.251 0.158 0.114
P3 P 0.253 0.486 0.769
O1 O 0.045 0.092 0.185
O2 O 0.047 0.377 0.780
O3 O 0.058 0.242 0.473
O4 O 0.242 0.342 0.121
O5 O 0.243 0.800 0.116
O6 O 0.249 0.092 0.664
O7 O 0.249 0.564 0.629
O8 O 0.251 0.615 0.889
O9 O 0.252 0.965 0.430
O10 O 0.255 0.091 0.963
O11 O 0.441 0.244 0.476
O12 O 0.457 0.099 0.187
O13 O 0.460 0.382 0.780
```

Main lines, by intensity (10 to 90 degrees two-theta):
2θ/deg, d_spacing, intensity, hkl
10.74, 8.235, 100, 0 1 0
27.03, 3.299, 96, 0 0 3
32.62, 2.745, 66, 0 3 0
29.58, 3.020, 66, 0 1 3
28.75, 3.105, 62, 0 2 2
33.87, 2.647, 57, 2 0 -2
34.00, 2.636, 56, 2 0 2
35.46, 2.532, 56, 2 -1 2
32.18, 2.782, 55, 2 1 1
28.57, 3.124, 43, 2 0 0